(1)
Structure and theoretical powder XRD pattern of ScPa4 (a GGA-PBE-relaxed structure; Cu Kα).
Kinematic intensities with the Lorentz-polarization factor, no thermal factor.

Most intense lines, 10 to 90 degrees two-theta, in order of falling intensity:
2θ = 36.25°, rel. 100.0, (1 1 5)
2θ = 32.52°, rel. 38.0, (0 2 0)
2θ = 32.12°, rel. 34.3, (0 0 10)
2θ = 46.36°, rel. 25.3, (0 2 10)
2θ = 59.98°, rel. 23.8, (1 1 15)
2θ = 60.47°, rel. 23.3, (1 3 5)
2θ = 76.95°, rel. 11.7, (2 2 10)
2θ = 12.71°, rel. 11.4, (0 0 4)
2θ = 79.23°, rel. 10.9, (1 3 15)
2θ = 67.50°, rel. 8.4, (2 0 10)

Atomic structure:
```
data_ScPa4
_chemical_formula_sum 'Sc4 Pa16'
_cell_length_a 3.2001
_cell_length_b 5.5070
_cell_length_c 27.8672
_cell_angle_alpha 90.00
_cell_angle_beta 90.00
_cell_angle_gamma 90.00
_space_group_name_H-M_alt 'F m m m'
_space_group_IT_number 69
_space_group_name_Hall '-F 2 2'
loop_
_atom_site_label
_atom_site_fract_x
_atom_site_fract_y
_atom_site_fract_z
Sc1 0.0000 0.0000 0.0000
Pa1 0.0000 0.0000 0.1996
Pa2 0.0000 0.0000 0.3993
```

***

(2)
Structure and theoretical powder XRD pattern of TbAg2AsS4 (a GGA-PBE-relaxed structure; Cu Kα).
Kinematic intensities with the Lorentz-polarization factor, no thermal factor.

Most intense lines, 10 to 90 degrees two-theta, in order of falling intensity:
2θ = 32.82°, rel. 100.0, (2 2 0)
2θ = 46.71°, rel. 70.6, (2 2 4)
2θ = 32.30°, rel. 51.8, (0 0 4)
2θ = 27.72°, rel. 47.0, (0 2 2)
2θ = 28.63°, rel. 43.1, (2 0 2)
2θ = 45.91°, rel. 18.6, (0 4 0)
2θ = 57.24°, rel. 18.6, (0 4 4)
2θ = 85.58°, rel. 17.5, (2 6 4)
2θ = 59.27°, rel. 16.9, (4 0 4)
2θ = 48.27°, rel. 16.7, (4 0 0)

Atomic structure:
```
data_TbAg2AsS4
_chemical_formula_sum 'Tb4 Ag8 As4 S16'
_cell_length_a 7.5424
_cell_length_b 7.9070
_cell_length_c 11.0862
_cell_angle_alpha 90.00
_cell_angle_beta 90.00
_cell_angle_gamma 90.00
_space_group_name_H-M_alt 'I m m a'
_space_group_IT_number 74
_space_group_name_Hall '-I 2b 2'
loop_
_atom_site_label
_atom_site_fract_x
_atom_site_fract_y
_atom_site_fract_z
Tb1 0.0000 0.0000 0.0000
Ag1 0.0000 0.0000 0.5000
Ag2 0.2500 0.2500 0.2500
As1 0.2500 0.2500 0.7500
S1 0.0000 0.0159 0.7516
S2 0.2502 0.2500 0.5134
```

***

(3)
Structure and theoretical powder XRD pattern of Rb3LiMg2F9 (a GGA-PBE-relaxed structure; Cu Kα).
Kinematic intensities with the Lorentz-polarization factor, no thermal factor.

Most intense lines, 10 to 90 degrees two-theta, in order of falling intensity:
2θ = 43.51°, rel. 100.0, (2 0 2)
2θ = 37.54°, rel. 93.9, (0 2 1)
2θ = 30.26°, rel. 79.0, (0 1 2)
2θ = 30.51°, rel. 76.0, (1 1 0)
2θ = 21.36°, rel. 57.6, (1 0 1)
2θ = 37.14°, rel. 31.8, (0 0 3)
2θ = 54.07°, rel. 31.6, (1 2 2)
2θ = 63.49°, rel. 28.8, (2 2 0)
2θ = 62.95°, rel. 28.8, (0 2 4)
2θ = 75.91°, rel. 18.2, (2 2 3)

Atomic structure:
```
data_Rb3LiMg2F9
_chemical_formula_sum 'Rb3 Li1 Mg2 F9'
_cell_length_a 5.8606
_cell_length_b 5.8606
_cell_length_c 7.2624
_cell_angle_alpha 90.00
_cell_angle_beta 90.00
_cell_angle_gamma 120.00
_space_group_name_H-M_alt 'P -3 m 1'
_space_group_IT_number 164
_space_group_name_Hall '-P 3 2"'
loop_
_atom_site_label
_atom_site_fract_x
_atom_site_fract_y
_atom_site_fract_z
Rb1 0.0000 0.0000 0.0000
Rb2 0.3333 0.6667 0.6576
Li1 0.0000 0.0000 0.5000
Mg1 0.3333 0.6667 0.1589
F1 0.0000 0.5000 0.0000
F2 0.1721 0.3442 0.3243
```

***

(4)
Structure and theoretical powder XRD pattern of ZrBeInCo (a GGA-PBE-relaxed structure; Cu Kα).
Kinematic intensities with the Lorentz-polarization factor, no thermal factor.

Most intense lines, 10 to 90 degrees two-theta, in order of falling intensity:
2θ = 40.90°, rel. 100.0, (2 2 0)
2θ = 28.61°, rel. 34.3, (2 0 0)
2θ = 74.49°, rel. 31.7, (4 2 2)
2θ = 59.23°, rel. 16.0, (4 0 0)
2θ = 24.71°, rel. 12.1, (1 1 1)
2θ = 67.07°, rel. 11.9, (4 2 0)
2θ = 88.66°, rel. 10.3, (4 4 0)
2θ = 50.67°, rel. 9.3, (2 2 2)
2θ = 48.37°, rel. 5.8, (3 1 1)
2θ = 65.16°, rel. 2.2, (3 3 1)

Atomic structure:
```
data_ZrBeInCo
_chemical_formula_sum 'Zr4 Be4 In4 Co4'
_cell_length_a 6.2405
_cell_length_b 6.2405
_cell_length_c 6.2405
_cell_angle_alpha 90.00
_cell_angle_beta 90.00
_cell_angle_gamma 90.00
_space_group_name_H-M_alt 'F -4 3 m'
_space_group_IT_number 216
_space_group_name_Hall 'F -4 2 3'
loop_
_atom_site_label
_atom_site_fract_x
_atom_site_fract_y
_atom_site_fract_z
Zr1 0.0000 0.0000 0.0000
Be1 0.2500 0.2500 0.2500
In1 0.0000 0.0000 0.5000
Co1 0.2500 0.2500 0.7500
```

***

(5)
Structure and theoretical powder XRD pattern of K2Ge2O3 (a GGA-PBE-relaxed structure; Cu Kα).
Kinematic intensities with the Lorentz-polarization factor, no thermal factor.

Most intense lines, 10 to 90 degrees two-theta, in order of falling intensity:
2θ = 30.98°, rel. 100.0, (2 2 0)
2θ = 55.11°, rel. 31.6, (4 2 2)
2θ = 44.38°, rel. 28.4, (4 0 0)
2θ = 21.77°, rel. 18.2, (2 0 0)
2θ = 64.57°, rel. 14.6, (4 4 0)
2θ = 15.35°, rel. 14.0, (1 1 0)
2θ = 89.92°, rel. 11.5, (6 4 2)
2θ = 73.34°, rel. 11.0, (6 0 2)
2θ = 26.75°, rel. 9.4, (2 1 1)
2θ = 62.29°, rel. 6.7, (5 1 2)

Atomic structure:
```
data_K2Ge2O3
_chemical_formula_sum 'K8 Ge8 O12'
_cell_length_a 8.1642
_cell_length_b 8.1642
_cell_length_c 8.1642
_cell_angle_alpha 90.00
_cell_angle_beta 90.00
_cell_angle_gamma 90.00
_space_group_name_H-M_alt 'I 21 3'
_space_group_IT_number 199
_space_group_name_Hall 'I 2b 2c 3'
loop_
_atom_site_label
_atom_site_fract_x
_atom_site_fract_y
_atom_site_fract_z
K1 0.2465 0.2535 0.7465
Ge1 0.0184 0.0184 0.0184
O1 0.0000 0.2500 0.9930
```

***

(6)
Structure and theoretical powder XRD pattern of LaMnBe2Cu (a GGA-PBE-relaxed structure; Cu Kα).
Kinematic intensities with the Lorentz-polarization factor, no thermal factor.

Most intense lines, 10 to 90 degrees two-theta, in order of falling intensity:
2θ = 30.40°, rel. 100.0, (1 1 0)
2θ = 21.37°, rel. 85.4, (1 0 0)
2θ = 46.30°, rel. 61.4, (1 1 2)
2θ = 34.07°, rel. 44.6, (0 0 2)
2θ = 43.52°, rel. 44.1, (2 0 0)
2θ = 34.95°, rel. 40.5, (1 1 1)
2θ = 16.85°, rel. 40.2, (0 0 1)
2θ = 56.40°, rel. 39.8, (2 0 2)
2θ = 40.57°, rel. 32.9, (1 0 2)
2θ = 81.89°, rel. 21.4, (3 1 2)

Atomic structure:
```
data_LaMnBe2Cu
_chemical_formula_sum 'La1 Mn1 Be2 Cu1'
_cell_length_a 4.1586
_cell_length_b 4.1586
_cell_length_c 5.2625
_cell_angle_alpha 90.00
_cell_angle_beta 90.00
_cell_angle_gamma 90.00
_space_group_name_H-M_alt 'P 4/m m m'
_space_group_IT_number 123
_space_group_name_Hall '-P 4 2'
loop_
_atom_site_label
_atom_site_fract_x
_atom_site_fract_y
_atom_site_fract_z
La1 0.0000 0.0000 0.0000
Mn1 0.5000 0.5000 0.0000
Be1 0.0000 0.5000 0.5000
Cu1 0.0000 0.0000 0.5000
```

***

(7)
Structure and theoretical powder XRD pattern of Pr3Tl4VSe8 (a GGA-PBE-relaxed structure; Cu Kα).
Kinematic intensities with the Lorentz-polarization factor, no thermal factor.

Most intense lines, 10 to 90 degrees two-theta, in order of falling intensity:
2θ = 28.88°, rel. 100.0, (0 2 4)
2θ = 39.69°, rel. 37.2, (2 0 8)
2θ = 42.87°, rel. 34.6, (2 2 0)
2θ = 52.52°, rel. 17.9, (4 0 4)
2θ = 25.56°, rel. 16.9, (2 0 2)
2θ = 70.03°, rel. 14.6, (2 4 4)
2θ = 65.51°, rel. 13.5, (2 2 12)
2θ = 59.84°, rel. 10.9, (0 4 8)
2θ = 76.39°, rel. 10.3, (4 2 8)
2θ = 23.01°, rel. 8.9, (0 0 6)

Atomic structure:
```
data_Pr3Tl4VSe8
_chemical_formula_sum 'Pr9 Tl12 V3 Se24'
_cell_length_a 8.4387
_cell_length_b 8.4387
_cell_length_c 23.1883
_cell_angle_alpha 90.00
_cell_angle_beta 90.00
_cell_angle_gamma 120.00
_space_group_name_H-M_alt 'R -3 m'
_space_group_IT_number 166
_space_group_name_Hall '-R 3 2"'
loop_
_atom_site_label
_atom_site_fract_x
_atom_site_fract_y
_atom_site_fract_z
Pr1 0.0000 0.5000 0.0000
Tl1 0.0000 0.0000 0.5000
Tl2 0.0000 0.5000 0.5000
V1 0.0000 0.0000 0.0000
Se1 0.0000 0.0000 0.2607
Se2 0.0296 0.5148 0.7341
```

***

(8)
Structure and theoretical powder XRD pattern of Er3Be2Ge3 (a GGA-PBE-relaxed structure; Cu Kα).
Kinematic intensities with the Lorentz-polarization factor, no thermal factor.

Most intense lines, 10 to 90 degrees two-theta, in order of falling intensity:
2θ = 35.25°, rel. 100.0, (1 1 4)
2θ = 33.73°, rel. 66.6, (1 3 0)
2θ = 34.36°, rel. 53.1, (1 3 1)
2θ = 24.55°, rel. 37.3, (1 1 1)
2θ = 39.06°, rel. 30.3, (0 0 6)
2θ = 45.15°, rel. 30.0, (2 0 0)
2θ = 39.11°, rel. 29.1, (1 3 3)
2θ = 52.54°, rel. 26.5, (1 3 6)
2θ = 76.85°, rel. 26.1, (2 6 4)
2θ = 30.81°, rel. 21.6, (0 2 4)

Atomic structure:
```
data_Er3Be2Ge3
_chemical_formula_sum 'Er12 Be8 Ge12'
_cell_length_a 4.0161
_cell_length_b 10.6319
_cell_length_c 13.8531
_cell_angle_alpha 90.00
_cell_angle_beta 90.00
_cell_angle_gamma 90.00
_space_group_name_H-M_alt 'C m c m'
_space_group_IT_number 63
_space_group_name_Hall '-C 2c 2'
loop_
_atom_site_label
_atom_site_fract_x
_atom_site_fract_y
_atom_site_fract_z
Er1 0.0000 0.0702 0.1110
Er2 0.0000 0.3568 0.2500
Be1 0.0000 0.2268 0.6030
Ge1 0.0000 0.3498 0.7500
Ge2 0.0000 0.3606 0.0436
```